No. 1
# Li2In3Rh
Computed powder XRD pattern, copper Kα. Input: DFT lattice parameters and positions (GGA-PBE).

Main lines, in order of falling intensity (5° ≤ 2θ ≤ 70°):
- 2θ 38.8, d 2.321, intensity 100, hkl 1 1 0
- 2θ 27.2, d 3.282, intensity 39, hkl 1 0 1
- 2θ 56.0, d 1.641, intensity 17, hkl 2 0 2
- 2θ 63.4, d 1.468, intensity 12, hkl 2 1 1
- 2θ 48.0, d 1.895, intensity 10, hkl 0 2 1
- 2θ 22.1, d 4.019, intensity 10, hkl 1 0 0
- 2θ 15.6, d 5.683, intensity 6, hkl 0 0 1
- 2θ 42.1, d 2.148, intensity 3, hkl 1 1 1
- 2θ 53.5, d 1.714, intensity 2, hkl 1 0 3
- 2θ 45.1, d 2.010, intensity 1, hkl 2 0 0
- 2θ 50.8, d 1.797, intensity 1, hkl 1 1 2
- 2θ 61.0, d 1.519, intensity 1, hkl 2 1 0

Atomic structure:
```
data_Li2In3Rh
_chemical_formula_sum 'Li2 In3 Rh1'
_symmetry_space_group_name_H-M 'P -3 m 1'
_symmetry_Int_Tables_number 164
_symmetry_space_group_name_Hall '-P 3 2"'
_cell_length_a 4.6413
_cell_length_b 4.6413
_cell_length_c 5.6834
_cell_angle_alpha 90.00
_cell_angle_beta 90.00
_cell_angle_gamma 120.00
loop_
_atom_site_label
_atom_site_type_symbol
_atom_site_fract_x
_atom_site_fract_y
_atom_site_fract_z
Li1 Li 0.3333 0.6667 0.1941
In1 In 0.0000 0.0000 0.0000
In2 In 0.3333 0.6667 0.6739
Rh1 Rh 0.0000 0.0000 0.5000
```


No. 2
# La8Ho4Sc
Computed powder XRD pattern, copper Kα. Input: DFT lattice parameters and positions (GGA-PBE).

Main lines, in order of falling intensity (5° ≤ 2θ ≤ 70°):
- 2θ 31.1, d 2.876, intensity 100, hkl 0 2 4
- 2θ 32.4, d 2.763, intensity 49, hkl 2 0 5
- 2θ 26.9, d 3.314, intensity 36, hkl 0 0 9
- 2θ 37.6, d 2.391, intensity 34, hkl 2 0 8
- 2θ 50.7, d 1.800, intensity 30, hkl 2 2 0
- 2θ 58.4, d 1.581, intensity 28, hkl 2 2 9
- 2θ 28.8, d 3.100, intensity 26, hkl 0 2 1
- 2θ 49.3, d 1.848, intensity 20, hkl 0 2 13
- 2θ 60.7, d 1.526, intensity 14, hkl 4 0 4
- 2θ 8.9, d 9.942, intensity 10, hkl 0 0 3
- 2θ 33.3, d 2.691, intensity 8, hkl 1 0 10
- 2θ 60.6, d 1.529, intensity 8, hkl 2 0 17

Atomic structure:
```
data_La8Ho4Sc
_chemical_formula_sum 'La24 Ho12 Sc3'
_symmetry_space_group_name_H-M 'R -3 m'
_symmetry_Int_Tables_number 166
_symmetry_space_group_name_Hall '-R 3 2"'
_cell_length_a 7.1987
_cell_length_b 7.1987
_cell_length_c 29.8272
_cell_angle_alpha 90.00
_cell_angle_beta 90.00
_cell_angle_gamma 120.00
loop_
_atom_site_label
_atom_site_type_symbol
_atom_site_fract_x
_atom_site_fract_y
_atom_site_fract_z
La1 La 0.0000 0.0000 0.2104
La2 La 0.0249 0.5124 0.7633
Ho1 Ho 0.0000 0.0000 0.0000
Ho2 Ho 0.0000 0.5000 0.0000
Sc1 Sc 0.0000 0.0000 0.5000
```